Entry 1:
This entry pairs a crystal structure of La3U2O10 with its theoretical X-ray powder pattern. Radiation: λ = 1.5418 Å (Cu Kα). Structure: a PBE-relaxed structure.

Largest 10 diffraction maxima, by angle, 2θ from 15° to 90°:
2θ 27.7, d = 3.224 Å, I 100.0, (2 0 -1); 2θ 27.8, d = 3.208 Å, I 49.6, (1 0 2); 2θ 28.2, d = 3.159 Å, I 46.9, (0 2 -2); 2θ 32.3, d = 2.774 Å, I 66.1, (2 -2 1); 2θ 45.8, d = 1.982 Å, I 17.6, (-3 2 2); 2θ 46.0, d = 1.973 Å, I 34.7, (3 0 1); 2θ 46.6, d = 1.950 Å, I 32.4, (1 -4 1); 2θ 46.7, d = 1.944 Å, I 16.1, (1 -2 4); 2θ 54.4, d = 1.686 Å, I 15.7, (4 -2 0); 2θ 54.7, d = 1.679 Å, I 22.8, (2 2 2)

Atomic structure:
Cell lengths 6.8510, 7.8042, 8.7303 Å; angles 101.68, 97.78, 107.13 degrees
Space group P-1 (No. 2)
Asymmetric unit:
La1 0.0000 0.0000 0.0000 (multiplicity 1)
La2 0.0000 0.5000 0.0000 (multiplicity 1)
La3 0.1990 0.3968 0.3963 (multiplicity 2)
La4 0.3917 0.7989 0.7994 (multiplicity 2)
U1 0.1996 0.9031 0.4029 (multiplicity 2)
U2 0.4026 0.3029 0.8022 (multiplicity 2)
O1 0.0476 0.7284 0.8467 (multiplicity 2)
O2 0.0581 0.2296 0.8239 (multiplicity 2)
O3 0.1464 0.1556 0.5524 (multiplicity 2)
O4 0.1503 0.6942 0.5282 (multiplicity 2)
O5 0.2541 0.0998 0.2670 (multiplicity 2)
O6 0.2769 0.6544 0.2485 (multiplicity 2)
O7 0.3613 0.5612 0.9570 (multiplicity 2)
O8 0.3617 0.1012 0.9353 (multiplicity 2)
O9 0.4407 0.0345 0.6323 (multiplicity 2)
O10 0.4413 0.5026 0.6642 (multiplicity 2)

=====

Entry 2:
This entry pairs a crystal structure of BaNdHf4O12 with its theoretical X-ray powder pattern. Radiation: λ = 1.5418 Å (Cu Kα). Structure: a PBE-relaxed structure.

Largest 10 diffraction maxima, by angle, 2θ from 15° to 90°:
2θ 18.7, d = 4.748 Å, I 33.1, (1 1 1); 2θ 21.5, d = 4.132 Å, I 19.2, (0 0 2); 2θ 21.7, d = 4.102 Å, I 35.6, (2 0 0); 2θ 30.7, d = 2.911 Å, I 100.0, (0 2 2); 2θ 30.8, d = 2.900 Å, I 52.5, (2 2 0); 2θ 43.8, d = 2.066 Å, I 14.2, (0 0 4); 2θ 44.2, d = 2.051 Å, I 29.8, (4 0 0); 2θ 54.5, d = 1.683 Å, I 20.6, (2 2 4); 2θ 54.7, d = 1.677 Å, I 42.2, (4 2 2); 2θ 64.0, d = 1.456 Å, I 16.9, (4 0 4)

Atomic structure:
Cell lengths 8.1971, 8.2104, 8.2640 Å; angles 90.00, 90.00, 90.00 degrees
Space group Amm2 (No. 38)
Asymmetric unit:
Ba1 0.0000 0.0000 0.0000 (multiplicity 2)
Nd1 0.5000 0.0000 0.5465 (multiplicity 2)
Hf1 0.2531 0.2414 0.2702 (multiplicity 8)
O1 0.0000 0.2286 0.2658 (multiplicity 4)
O2 0.2433 0.0000 0.7468 (multiplicity 4)
O3 0.2568 0.2301 0.0188 (multiplicity 8)
O4 0.3050 0.0000 0.3114 (multiplicity 4)
O5 0.5000 0.2085 0.7447 (multiplicity 4)